[1]
Diffraction record for SrLiErPt. The X-ray powder pattern is simulated, not measured: it uses a structure optimized by DFT (GGA-PBE) and a wavelength of 1.5418 Å.
Neutral-atom scattering factors, no anomalous dispersion.

Crystal structure
```
data_SrLiErPt
_chemical_formula_sum 'Sr4 Li4 Er4 Pt4'
_symmetry_space_group_name_H-M 'P 1'
_symmetry_Int_Tables_number 1
_cell_length_a 7.230
_cell_length_b 7.230
_cell_length_c 7.230
_cell_angle_alpha 90.00
_cell_angle_beta 90.00
_cell_angle_gamma 90.00
loop_
_symmetry_equiv_pos_as_xyz
'x,y,z'
loop_
_atom_site_label
_atom_site_type_symbol
_atom_site_fract_x
_atom_site_fract_y
_atom_site_fract_z
Sr1 Sr 0.000 0.000 0.000
Sr2 Sr 0.000 0.500 0.500
Sr3 Sr 0.500 0.000 0.500
Sr4 Sr 0.500 0.500 0.000
Li1 Li 0.250 0.250 0.750
Li2 Li 0.250 0.750 0.250
Li3 Li 0.750 0.250 0.250
Li4 Li 0.750 0.750 0.750
Er1 Er 0.000 0.000 0.500
Er2 Er 0.000 0.500 0.000
Er3 Er 0.500 0.000 0.000
Er4 Er 0.500 0.500 0.500
Pt1 Pt 0.250 0.250 0.250
Pt2 Pt 0.250 0.750 0.750
Pt3 Pt 0.750 0.250 0.750
Pt4 Pt 0.750 0.750 0.250
```

Top 10 peaks for 2θ = 10–90°, by angle:
2θ/deg  I_rel
21.29  47
35.11  100
41.42  26
50.49  18
55.39  11
62.98  37
67.29  8
74.20  12
78.22  8
84.81  17

---

[2]
Diffraction record for Li3Er3PuS8. The X-ray powder pattern is simulated, not measured: it uses a structure optimized by DFT (GGA-PBE) and a wavelength of 1.5418 Å.
Neutral-atom scattering factors, no anomalous dispersion.

Crystal structure
```
data_Li3Er3PuS8
_chemical_formula_sum 'Li3 Er3 Pu1 S8'
_symmetry_space_group_name_H-M 'P 1'
_symmetry_Int_Tables_number 1
_cell_length_a 7.636
_cell_length_b 7.636
_cell_length_c 7.636
_cell_angle_alpha 61.54
_cell_angle_beta 61.54
_cell_angle_gamma 61.54
loop_
_symmetry_equiv_pos_as_xyz
'x,y,z'
loop_
_atom_site_label
_atom_site_type_symbol
_atom_site_fract_x
_atom_site_fract_y
_atom_site_fract_z
Li1 Li 0.000 0.500 0.500
Li2 Li 0.500 0.000 0.500
Li3 Li 0.500 0.500 0.000
Er1 Er 0.000 0.000 0.500
Er2 Er 0.000 0.500 0.000
Er3 Er 0.500 0.000 0.000
Pu1 Pu 0.500 0.500 0.500
S1 S 0.249 0.249 0.249
S2 S 0.253 0.745 0.745
S3 S 0.255 0.255 0.747
S4 S 0.255 0.747 0.255
S5 S 0.745 0.253 0.745
S6 S 0.745 0.745 0.253
S7 S 0.747 0.255 0.255
S8 S 0.751 0.751 0.751
```

Top 10 peaks for 2θ = 10–90°, by angle:
2θ/deg  I_rel
14.38  100
26.79  68
28.09  26
32.81  82
35.99  30
43.48  20
46.50  30
47.66  28
48.92  28
79.23  19

---

[3]
Diffraction record for LiErPuSi. The X-ray powder pattern is simulated, not measured: it uses a structure optimized by DFT (GGA-PBE) and a wavelength of 1.5418 Å.
Neutral-atom scattering factors, no anomalous dispersion.

Crystal structure
```
data_LiErPuSi
_chemical_formula_sum 'Li4 Er4 Pu4 Si4'
_symmetry_space_group_name_H-M 'P 1'
_symmetry_Int_Tables_number 1
_cell_length_a 7.014
_cell_length_b 7.014
_cell_length_c 7.014
_cell_angle_alpha 90.00
_cell_angle_beta 90.00
_cell_angle_gamma 90.00
loop_
_symmetry_equiv_pos_as_xyz
'x,y,z'
loop_
_atom_site_label
_atom_site_type_symbol
_atom_site_fract_x
_atom_site_fract_y
_atom_site_fract_z
Li1 Li 0.000 0.000 0.000
Li2 Li 0.000 0.500 0.500
Li3 Li 0.500 0.000 0.500
Li4 Li 0.500 0.500 0.000
Er1 Er 0.250 0.250 0.250
Er2 Er 0.250 0.750 0.750
Er3 Er 0.750 0.250 0.750
Er4 Er 0.750 0.750 0.250
Pu1 Pu 0.250 0.250 0.750
Pu2 Pu 0.250 0.750 0.250
Pu3 Pu 0.750 0.250 0.250
Pu4 Pu 0.750 0.750 0.750
Si1 Si 0.000 0.000 0.500
Si2 Si 0.000 0.500 0.000
Si3 Si 0.500 0.000 0.000
Si4 Si 0.500 0.500 0.500
```

Top 10 peaks for 2θ = 10–90°, by angle:
2θ/deg  I_rel
21.95  6
25.40  88
36.22  100
44.76  27
52.16  18
58.88  36
65.15  37
76.88  12
82.51  18
88.07  17

---

[4]
Diffraction record for RbLiErS2. The X-ray powder pattern is simulated, not measured: it uses a structure optimized by DFT (GGA-PBE) and a wavelength of 1.5418 Å.
Neutral-atom scattering factors, no anomalous dispersion.

Crystal structure
```
data_RbLiErS2
_chemical_formula_sum 'Rb2 Li2 Er2 S4'
_symmetry_space_group_name_H-M 'P 1'
_symmetry_Int_Tables_number 1
_cell_length_a 8.725
_cell_length_b 8.725
_cell_length_c 5.051
_cell_angle_alpha 90.00
_cell_angle_beta 90.00
_cell_angle_gamma 126.88
loop_
_symmetry_equiv_pos_as_xyz
'x,y,z'
loop_
_atom_site_label
_atom_site_type_symbol
_atom_site_fract_x
_atom_site_fract_y
_atom_site_fract_z
Rb1 Rb 0.250 0.750 0.835
Rb2 Rb 0.750 0.250 0.165
Li1 Li 0.000 0.000 0.000
Li2 Li 0.500 0.500 0.000
Er1 Er 0.250 0.250 0.500
Er2 Er 0.750 0.750 0.500
S1 S 0.105 0.895 0.352
S2 S 0.395 0.605 0.352
S3 S 0.605 0.395 0.648
S4 S 0.895 0.105 0.648
```

Top 10 peaks for 2θ = 10–90°, by angle:
2θ/deg  I_rel
11.34  44
17.56  41
20.95  100
22.79  34
25.53  71
27.13  37
28.92  36
37.13  63
41.73  31
61.15  28

---

[5]
Diffraction record for LiEr6Rh5. The X-ray powder pattern is simulated, not measured: it uses a structure optimized by DFT (GGA-PBE) and a wavelength of 1.5418 Å.
Neutral-atom scattering factors, no anomalous dispersion.

Crystal structure
```
data_LiEr6Rh5
_chemical_formula_sum 'Li1 Er6 Rh5'
_symmetry_space_group_name_H-M 'P 1'
_symmetry_Int_Tables_number 1
_cell_length_a 8.377
_cell_length_b 8.377
_cell_length_c 8.377
_cell_angle_alpha 146.67
_cell_angle_beta 131.67
_cell_angle_gamma 59.98
loop_
_symmetry_equiv_pos_as_xyz
'x,y,z'
loop_
_atom_site_label
_atom_site_type_symbol
_atom_site_fract_x
_atom_site_fract_y
_atom_site_fract_z
Li1 Li 0.000 0.000 0.000
Er1 Er 0.084 0.830 0.254
Er2 Er 0.258 0.500 0.758
Er3 Er 0.424 0.170 0.254
Er4 Er 0.576 0.830 0.746
Er5 Er 0.742 0.500 0.242
Er6 Er 0.916 0.170 0.746
Rh1 Rh 0.163 0.663 0.500
Rh2 Rh 0.333 0.333 0.000
Rh3 Rh 0.500 0.000 0.500
Rh4 Rh 0.667 0.667 0.000
Rh5 Rh 0.837 0.337 0.500
```

Top 10 peaks for 2θ = 10–90°, by angle:
2θ/deg  I_rel
25.98  4
26.14  9
37.19  100
37.44  20
53.43  7
53.79  14
66.89  7
67.04  21
67.38  14
79.24  11

---

[6]
Diffraction record for LiErRu. The X-ray powder pattern is simulated, not measured: it uses a structure optimized by DFT (GGA-PBE) and a wavelength of 1.5418 Å.
Neutral-atom scattering factors, no anomalous dispersion.

Crystal structure
```
data_LiErRu
_chemical_formula_sum 'Li4 Er4 Ru4'
_symmetry_space_group_name_H-M 'P 1'
_symmetry_Int_Tables_number 1
_cell_length_a 7.083
_cell_length_b 8.697
_cell_length_c 4.516
_cell_angle_alpha 90.00
_cell_angle_beta 129.45
_cell_angle_gamma 90.00
loop_
_symmetry_equiv_pos_as_xyz
'x,y,z'
loop_
_atom_site_label
_atom_site_type_symbol
_atom_site_fract_x
_atom_site_fract_y
_atom_site_fract_z
Li1 Li 0.000 0.022 0.250
Li2 Li 0.000 0.978 0.750
Li3 Li 0.500 0.478 0.750
Li4 Li 0.500 0.522 0.250
Er1 Er 0.000 0.368 0.250
Er2 Er 0.000 0.632 0.750
Er3 Er 0.500 0.132 0.750
Er4 Er 0.500 0.868 0.250
Ru1 Ru 0.250 0.250 0.000
Ru2 Ru 0.250 0.750 0.500
Ru3 Ru 0.750 0.250 0.500
Ru4 Ru 0.750 0.750 0.000
```

Top 10 peaks for 2θ = 10–90°, by angle:
2θ/deg  I_rel
19.17  52
20.42  26
32.95  65
35.03  19
36.84  38
39.91  100
44.65  12
53.87  21
54.15  11
56.71  15